Starting from a crystal structure in the Materials Project, relaxed with GGA-PBE, the PXRD pattern of LiSmAu2 was simulated for Cu Kα, 1.54184 Å.
No peak broadening, texture or thermal motion is included.

Structural model:
a = 4.944 Å, b = 4.944 Å, c = 4.944 Å
α = 60.00°, β = 60.00°, γ = 60.00°
Fractional positions:
Li 0.000 0.000 0.000
Sm 0.500 0.500 0.500
Au 0.250 0.250 0.250
Au 0.750 0.750 0.750

Peak list (6 most intense, 2θ = 15–90°, in order of rising 2θ)
- 2θ 22.0, I = 164
- 2θ 25.5, I = 234
- 2θ 36.3, I = 1000
- 2θ 52.3, I = 178
- 2θ 65.4, I = 367
- 2θ 88.4, I = 172